Theoretical powder diffractogram of Rb2LaFeBr6 for λ = 1.5418 Å (Cu Kα), from a PBE-relaxed structure.

Cell and atoms:
a b c (Å): 11.170 11.170 11.170
angles (deg): 90.00 90.00 90.00
Space group Fm-3m (No. 225)
Unique sites:
Rb 0.250 0.250 0.250 (multiplicity 8)
La 0.000 0.000 0.000 (multiplicity 4)
Fe 0.000 0.000 0.500 (multiplicity 4)
Br 0.000 0.000 0.262 (multiplicity 24)

Most intense lines, 10 to 80 degrees two-theta, most intense first:
| two_theta | I_rel | index |
| --- | --- | --- |
| 32.1 | 100 | 4 0 0 |
| 46.0 | 70 | 4 4 0 |
| 27.7 | 58 | 2 2 2 |
| 22.5 | 29 | 2 2 0 |
| 76.2 | 29 | 8 4 0 |
| 15.9 | 28 | 2 0 0 |